Structure and simulated powder diffractogram of Pa7Tc3Ge (a DFT-relaxed cell (GGA-PBE, Alexandria); Cu Kα (λ = 1.5418 Å)).
Peak positions follow from Bragg's law for the DFT cell and can differ from measured ones.

Cell lengths 7.300, 7.300, 5.418 Å; angles 111.61, 111.61, 83.56 degrees
Element x y z (fractional)
1 Pa 0.000 0.000 0.000
2 Pa 0.101 0.565 0.333
3 Pa 0.316 0.316 0.816
4 Pa 0.435 0.899 0.667
5 Pa 0.565 0.101 0.333
6 Pa 0.684 0.684 0.184
7 Pa 0.899 0.435 0.667
8 Tc 0.280 0.720 0.000
9 Tc 0.500 0.500 0.500
10 Tc 0.720 0.280 0.000
11 Ge 0.000 0.000 0.500

Top 10 peaks for 2θ = 10–90°, by angle:
2θ (°)  Rel. int.
26.32  32.7
26.39  20.7
29.77  32.7
33.07  100.0
36.97  63.5
37.50  49.9
37.77  76.3
37.88  75.7
50.43  53.1
62.10  24.1